Record 1
Np4AuO12: simulated PXRD pattern (Cu Kα), based on a DFT-relaxed cell (PBE, Alexandria).

Top 10 peaks for 10 to 80 degrees two-theta, sorted by position:
- hkl 1 0 1, 2θ 15.26, I = 19
- hkl 0 0 2, 2θ 21.49, I = 32
- hkl 2 0 0, 2θ 21.80, I = 63
- hkl 2 0 2, 2θ 30.80, I = 100
- hkl 2 2 0, 2θ 31.02, I = 46
- hkl 2 2 2, 2θ 38.05, I = 17
- hkl 0 4 0, 2θ 44.44, I = 26
- hkl 2 2 4, 2θ 54.62, I = 22
- hkl 4 2 2, 2θ 55.04, I = 44
- hkl 4 0 4, 2θ 64.15, I = 16

Crystal structure
Lattice parameters (Å, degrees): 8.1530 8.1562 8.2704 90.00 90.00 90.00
Space group Immm (No. 71)
Unique sites:
Np  0.2500  0.2500  0.2500 x8
Au  0.0000  0.0000  0.0000 x2
O  0.0000  0.2534  0.2945 x8
O  0.2004  0.2008  0.0000 x8
O  0.2429  0.5000  0.2066 x8

Record 2
PmNpAuO6: simulated PXRD pattern (Cu Kα), based on a DFT-relaxed cell (PBE, Alexandria).

Top 10 peaks for 10 to 80 degrees two-theta, sorted by position:
- hkl 0 0 2, 2θ 19.99, I = 17
- hkl 1 0 2, 2θ 26.55, I = 100
- hkl 1 1 0, 2θ 30.17, I = 67
- hkl 1 1 2, 2θ 36.46, I = 12
- hkl 0 0 4, 2θ 40.62, I = 41
- hkl 1 1 4, 2θ 51.43, I = 76
- hkl 3 0 0, 2θ 53.59, I = 20
- hkl 2 2 0, 2θ 62.74, I = 9
- hkl 3 0 4, 2θ 69.36, I = 26
- hkl 4 -2 4, 2θ 77.47, I = 18

Crystal structure
Lattice parameters (Å, degrees): 5.9236 5.9236 8.8830 90.00 90.00 120.00
Space group P-31c (No. 163)
Unique sites:
Pm  0.3333  0.6667  0.2500 x2
Np  0.3333  0.6667  0.7500 x2
Au  0.0000  0.0000  0.0000 x2
O  0.0419  0.3757  0.6304 x12

Record 3
Np2PaAu6: simulated PXRD pattern (Cu Kα), based on a DFT-relaxed cell (PBE, Alexandria).

Top 10 peaks for 10 to 80 degrees two-theta, sorted by position:
- hkl 0 0 3, 2θ 29.28, I = 4
- hkl 1 1 3, 2θ 36.33, I = 97
- hkl 3 0 0, 2θ 36.85, I = 100
- hkl 3 0 3, 2θ 47.75, I = 7
- hkl 2 2 3, 2θ 52.71, I = 34
- hkl 0 0 6, 2θ 60.73, I = 8
- hkl 4 1 3, 2θ 66.05, I = 35
- hkl 3 3 0, 2θ 66.38, I = 18
- hkl 3 0 6, 2θ 73.20, I = 28
- hkl 6 0 0, 2θ 78.42, I = 12

Crystal structure
Lattice parameters (Å, degrees): 8.4492 8.4492 9.1497 90.00 90.00 120.00
Space group R-3m (No. 166, hexagonal axes)
Unique sites:
Np  0.0000  0.0000  0.1634 x6
Pa  0.0000  0.0000  0.5000 x3
Au  0.0000  0.3342  0.0000 x18

Record 4
NpPdAu3: simulated PXRD pattern (Cu Kα), based on a DFT-relaxed cell (PBE, Alexandria).

Top 10 peaks for 10 to 80 degrees two-theta, sorted by position:
- hkl 1 0 1, 2θ 25.28, I = 12
- hkl 0 1 2, 2θ 27.65, I = 10
- hkl 0 2 0, 2θ 32.82, I = 16
- hkl 0 2 1, 2θ 34.74, I = 10
- hkl 0 1 -3, 2θ 37.54, I = 16
- hkl 1 1 2, 2θ 37.81, I = 100
- hkl 2 0 -1, 2θ 38.38, I = 38
- hkl 1 2 -1, 2θ 38.58, I = 46
- hkl -1 3 3, 2θ 61.92, I = 12
- hkl 3 1 1, 2θ 68.97, I = 9

Crystal structure
Lattice parameters (Å, degrees): 4.6911 5.4575 8.3321 90.04 106.23 90.00
Space group P1 (No. 1)
Unique sites:
Np  0.0000  0.0000  0.0000 x1
Np  0.2945  0.5018  0.5822 x1
Pd  0.4979  0.3974  0.9911 x1
Pd  0.7969  0.8969  0.5918 x1
Au  0.0963  0.4865  0.1892 x1
Au  0.1982  0.9873  0.3933 x1
Au  0.3831  0.0080  0.7650 x1
Au  0.6213  0.7713  0.2398 x1
Au  0.6734  0.2714  0.3432 x1
Au  0.9112  0.5056  0.8169 x1

Record 5
NpPd6Au2: simulated PXRD pattern (Cu Kα), based on a DFT-relaxed cell (PBE, Alexandria).

Top 10 peaks for 10 to 80 degrees two-theta, sorted by position:
- hkl 1 1 1, 2θ 25.08, I = 14
- hkl 0 2 0, 2θ 36.79, I = 65
- hkl 2 0 -3, 2θ 37.29, I = 62
- hkl 3 1 0, 2θ 40.51, I = 100
- hkl 1 1 3, 2θ 41.01, I = 95
- hkl 2 2 -3, 2θ 53.39, I = 44
- hkl 3 3 0, 2θ 68.78, I = 21
- hkl 5 1 -3, 2θ 69.10, I = 41
- hkl 1 1 -6, 2θ 70.12, I = 19
- hkl 4 2 3, 2θ 76.45, I = 15

Crystal structure
Lattice parameters (Å, degrees): 7.6018 4.8854 8.3773 90.00 99.09 90.00
Space group C2/m (No. 12)
Unique sites:
Np  0.0000  0.0000  0.0000 x2
Pd  0.0001  0.0000  0.3232 x4
Pd  0.1640  0.5000  0.1179 x4
Pd  0.1722  0.5000  0.7873 x4
Au  0.1671  0.5000  0.4477 x4

Record 6
Rb3Np3AuS8: simulated PXRD pattern (Cu Kα), based on a DFT-relaxed cell (PBE, Alexandria).

Top 10 peaks for 10 to 80 degrees two-theta, sorted by position:
- hkl 0 0 1, 2θ 11.55, I = 100
- hkl 0 0 2, 2θ 23.21, I = 36
- hkl 2 2 -1, 2θ 25.34, I = 26
- hkl 2 2 0, 2θ 25.97, I = 51
- hkl 4 0 -2, 2θ 28.25, I = 19
- hkl 2 2 -2, 2θ 29.77, I = 83
- hkl 4 0 0, 2θ 30.47, I = 36
- hkl 4 0 1, 2θ 37.65, I = 23
- hkl 2 2 2, 2θ 39.82, I = 31
- hkl 6 2 -2, 2θ 46.23, I = 24

Crystal structure
Lattice parameters (Å, degrees): 13.3151 8.4591 8.6954 90.00 118.20 90.00
Space group C2/m (No. 12)
Unique sites:
Rb  0.0000  0.0000  0.0000 x2
Rb  0.2500  0.2500  0.0000 x4
Np  0.0000  0.5000  0.5000 x2
Np  0.2500  0.2500  0.5000 x4
Au  0.0000  0.0000  0.5000 x2
S  0.0316  0.2928  0.2951 x8
S  0.2055  0.0000  0.6657 x4
S  0.2314  0.5000  0.6916 x4